[1]
This entry pairs a crystal structure of LiCrP2O7 with its theoretical XRD peak list. Radiation: Cu Kα (λ = 1.5418 Å). Structure: the GGA+U geometry in the Materials Project.
No peak broadening, texture or thermal motion is included.

Largest 12 diffraction maxima, most intense first, 2θ from 10° to 80°:
two_theta  I (rel.)
16.33  100
31.46  61
28.43  52
28.58  48
20.29  45
32.23  41
14.10  36
30.16  35
19.68  30
37.55  23
29.19  21
43.21  21

Crystal structure
abc: 6.323 6.344 6.836
angles: 85.41 66.77 82.24
Fractional coordinates of all 22 atoms:
Li 0.210 0.005 0.332
Li 0.790 0.995 0.668
Cr 0.408 0.358 0.716
Cr 0.592 0.642 0.284
P 0.153 0.606 0.148
P 0.283 0.869 0.734
P 0.717 0.131 0.266
P 0.847 0.394 0.852
O 0.099 0.408 0.706
O 0.109 0.950 0.640
O 0.145 0.792 0.974
O 0.276 0.403 0.025
O 0.281 0.685 0.271
O 0.435 0.037 0.745
O 0.449 0.668 0.619
O 0.551 0.332 0.381
O 0.565 0.963 0.255
O 0.719 0.315 0.729
O 0.724 0.597 0.975
O 0.855 0.208 0.026
O 0.891 0.050 0.360
O 0.901 0.592 0.294

[2]
This entry pairs a crystal structure of Li3CrP8O24 with its theoretical XRD peak list. Radiation: Cu Kα (λ = 1.5418 Å). Structure: the GGA+U geometry in the Materials Project.
No peak broadening, texture or thermal motion is included.

Largest 12 diffraction maxima, most intense first, 2θ from 10° to 80°:
two_theta  I (rel.)
29.47  100
19.14  82
27.30  71
27.73  43
20.69  40
26.06  34
10.07  17
34.32  15
37.23  15
37.52  15
16.97  14
42.67  14

Crystal structure
abc: 7.287 7.287 10.025
angles: 113.24 113.24 70.12
Fractional coordinates of all 36 atoms:
Li 0.000 0.000 0.000
Li 0.048 0.434 0.243
Li 0.566 0.952 0.757
Cr 0.104 0.896 0.500
P 0.299 0.673 0.769
P 0.327 0.701 0.231
P 0.344 0.252 0.546
P 0.366 0.248 0.060
P 0.748 0.656 0.454
P 0.752 0.634 0.940
P 0.789 0.206 0.279
P 0.794 0.211 0.721
O 0.132 0.783 0.840
O 0.175 0.224 0.069
O 0.217 0.868 0.160
O 0.238 0.301 0.401
O 0.239 0.681 0.339
O 0.283 0.438 0.686
O 0.315 0.064 0.562
O 0.319 0.761 0.661
O 0.354 0.488 0.099
O 0.407 0.141 0.909
O 0.512 0.646 0.901
O 0.554 0.181 0.197
O 0.562 0.717 0.314
O 0.585 0.233 0.582
O 0.699 0.762 0.599
O 0.765 0.136 0.828
O 0.767 0.415 0.418
O 0.776 0.825 0.931
O 0.819 0.446 0.803
O 0.859 0.593 0.091
O 0.864 0.235 0.172
O 0.896 0.033 0.347
O 0.936 0.685 0.438
O 0.967 0.104 0.653

Question: Number 1 is which compound?
Answer: LiCrP2O7